# SmH10S3N3O11
Computed powder XRD pattern, Cu Kα (weighted mean of Kα1 and Kα2). Input: a PBE-relaxed structure.
Neutral-atom scattering factors, no anomalous dispersion.

Main lines, low angle first (15 to 90 degrees two-theta):
two_theta	intensity
15.29	100
17.04	38
21.65	33
23.08	34
23.41	55
25.03	56
25.99	79
26.45	92
27.06	56
33.43	33

Cell and atoms:
Unit cell a=7.640 b=8.760 c=9.009 alpha=118.01 beta=94.40 gamma=92.10
Element x y z (fractional)
Sm (0.225, 0.373, 0.211)
Sm (0.775, 0.627, 0.789)
H (0.124, 0.238, 0.620)
H (0.126, 0.981, 0.332)
H (0.190, 0.449, 0.757)
H (0.282, 0.018, 0.140)
H (0.304, 0.016, 0.958)
H (0.324, 0.315, 0.869)
H (0.327, 0.900, 0.331)
H (0.386, 0.785, 0.775)
H (0.404, 0.905, 0.678)
H (0.489, 0.661, 0.017)
H (0.511, 0.339, 0.983)
H (0.596, 0.095, 0.322)
H (0.614, 0.215, 0.225)
H (0.673, 0.100, 0.669)
H (0.676, 0.685, 0.131)
H (0.696, 0.984, 0.042)
H (0.718, 0.982, 0.860)
H (0.810, 0.551, 0.243)
H (0.874, 0.019, 0.668)
H (0.876, 0.762, 0.380)
S (0.138, 0.770, 0.623)
S (0.140, 0.727, 0.105)
S (0.393, 0.320, 0.585)
S (0.607, 0.680, 0.415)
S (0.860, 0.273, 0.895)
S (0.862, 0.230, 0.377)
N (0.224, 0.915, 0.259)
N (0.228, 0.325, 0.695)
N (0.324, 0.870, 0.745)
N (0.676, 0.130, 0.255)
N (0.772, 0.675, 0.305)
N (0.776, 0.085, 0.741)
O (0.030, 0.235, 0.950)
O (0.033, 0.742, 0.739)
O (0.068, 0.890, 0.568)
O (0.118, 0.604, 0.173)
O (0.175, 0.604, 0.483)
O (0.266, 0.673, 0.979)
O (0.312, 0.089, 0.084)
O (0.323, 0.285, 0.416)
O (0.382, 0.334, 0.981)
O (0.484, 0.495, 0.684)
O (0.497, 0.181, 0.577)
O (0.503, 0.819, 0.423)
O (0.516, 0.505, 0.316)
O (0.618, 0.666, 0.019)
O (0.677, 0.715, 0.584)
O (0.688, 0.911, 0.916)
O (0.734, 0.327, 0.021)
O (0.825, 0.396, 0.517)
O (0.882, 0.396, 0.827)
O (0.932, 0.110, 0.432)
O (0.967, 0.258, 0.261)
O (0.970, 0.765, 0.050)


# CsKPdO3
Computed powder XRD pattern, Cu Kα (weighted mean of Kα1 and Kα2). Input: a PBE-relaxed structure.
Neutral-atom scattering factors, no anomalous dispersion.

Main lines, low angle first (15 to 90 degrees two-theta):
two_theta	intensity
15.63	26
24.51	40
27.25	100
29.20	58
36.97	42
40.37	33
48.16	21
49.39	24
56.22	18
58.08	23

Cell and atoms:
Unit cell a=6.545 b=6.545 c=7.265 alpha=90.00 beta=90.00 gamma=120.00
Element x y z (fractional)
Cs (0.333, 0.667, 0.247)
Cs (0.667, 0.333, 0.753)
K (0.000, 0.000, 0.000)
K (0.000, 0.000, 0.500)
Pd (0.333, 0.667, 0.749)
Pd (0.667, 0.333, 0.251)
O (0.155, 0.345, 0.750)
O (0.191, 0.845, 0.750)
O (0.345, 0.155, 0.250)
O (0.655, 0.809, 0.750)
O (0.809, 0.655, 0.250)
O (0.845, 0.191, 0.250)


# NaTbNO
Computed powder XRD pattern, Cu Kα (weighted mean of Kα1 and Kα2). Input: a PBE-relaxed structure.
Neutral-atom scattering factors, no anomalous dispersion.

Main lines, low angle first (15 to 90 degrees two-theta):
two_theta	intensity
19.21	67
25.77	72
32.34	100
36.76	70
38.99	29
41.80	37
47.33	29
52.97	23
54.66	42
63.44	31

Cell and atoms:
Unit cell a=3.457 b=3.457 c=4.620 alpha=90.00 beta=90.00 gamma=90.00
Element x y z (fractional)
Na (0.000, 0.000, 0.000)
Tb (0.500, 0.500, 0.500)
N (0.000, 0.000, 0.500)
O (0.500, 0.500, 0.000)


# Cu2Ag3
Computed powder XRD pattern, Cu Kα (weighted mean of Kα1 and Kα2). Input: a PBE-relaxed structure.
Neutral-atom scattering factors, no anomalous dispersion.

Main lines, low angle first (15 to 90 degrees two-theta):
two_theta	intensity
24.30	2
39.40	100
45.71	32
46.05	16
66.63	9
66.90	19
80.19	11
80.31	11
80.74	11
84.79	10

Cell and atoms:
Unit cell a=3.942 b=10.114 c=10.114 alpha=22.66 beta=90.00 gamma=90.00
Element x y z (fractional)
Cu (0.000, 0.000, 0.000)
Cu (0.000, 0.195, 0.195)
Cu (0.000, 0.597, 0.597)
Cu (0.500, 0.291, 0.291)
Ag (0.000, 0.396, 0.396)
Ag (0.000, 0.792, 0.792)
Ag (0.500, 0.097, 0.097)
Ag (0.500, 0.500, 0.500)
Ag (0.500, 0.694, 0.694)
Ag (0.500, 0.896, 0.896)


# BaSrCdSbAs
Computed powder XRD pattern, Cu Kα (weighted mean of Kα1 and Kα2). Input: a PBE-relaxed structure.
Neutral-atom scattering factors, no anomalous dispersion.

Main lines, low angle first (15 to 90 degrees two-theta):
two_theta	intensity
26.81	100
29.01	63
29.75	20
32.38	64
32.63	37
33.60	41
34.13	18
38.34	25
38.49	44
52.00	23

Cell and atoms:
Unit cell a=8.882 b=8.882 c=8.420 alpha=90.00 beta=90.00 gamma=149.47
Element x y z (fractional)
Ba (0.043, 0.957, 0.500)
Ba (0.957, 0.043, 0.000)
Sr (0.214, 0.786, 0.871)
Sr (0.786, 0.214, 0.371)
Cd (0.402, 0.598, 0.657)
Cd (0.598, 0.402, 0.157)
Sb (0.429, 0.571, 0.302)
Sb (0.571, 0.429, 0.802)
As (0.178, 0.822, 0.233)
As (0.822, 0.178, 0.733)


# Al5Re8
Computed powder XRD pattern, Cu Kα (weighted mean of Kα1 and Kα2). Input: a PBE-relaxed structure.
Neutral-atom scattering factors, no anomalous dispersion.

Main lines, low angle first (15 to 90 degrees two-theta):
two_theta	intensity
20.42	100
24.05	21
39.96	24
40.30	85
40.50	20
40.76	32
43.13	28
43.88	42
47.25	34
72.96	30

Cell and atoms:
Unit cell a=9.199 b=9.199 c=9.199 alpha=32.75 beta=32.75 gamma=32.75
Element x y z (fractional)
Al (0.000, 0.000, 0.000)
Al (0.167, 0.167, 0.167)
Al (0.348, 0.348, 0.348)
Al (0.652, 0.652, 0.652)
Al (0.833, 0.833, 0.833)
Re (0.088, 0.088, 0.586)
Re (0.088, 0.586, 0.088)
Re (0.414, 0.912, 0.912)
Re (0.455, 0.455, 0.455)
Re (0.545, 0.545, 0.545)
Re (0.586, 0.088, 0.088)
Re (0.912, 0.414, 0.912)
Re (0.912, 0.912, 0.414)


# Dy2Sn3Hg3
Computed powder XRD pattern, Cu Kα (weighted mean of Kα1 and Kα2). Input: a PBE-relaxed structure.
Neutral-atom scattering factors, no anomalous dispersion.

Main lines, low angle first (15 to 90 degrees two-theta):
two_theta	intensity
33.59	100
37.80	18
39.08	17
40.05	16
55.49	12
56.24	12
65.58	15
67.32	14
68.65	13
70.61	12

Cell and atoms:
Unit cell a=4.610 b=4.760 c=9.006 alpha=90.00 beta=90.00 gamma=90.00
Element x y z (fractional)
Dy (0.000, 0.000, 0.247)
Dy (0.000, 0.000, 0.753)
Sn (0.000, 0.500, 0.000)
Sn (0.500, 0.000, 0.000)
Sn (0.500, 0.000, 0.500)
Hg (0.000, 0.500, 0.500)
Hg (0.500, 0.500, 0.255)
Hg (0.500, 0.500, 0.745)


# ErTm2Mg3In3
Computed powder XRD pattern, Cu Kα (weighted mean of Kα1 and Kα2). Input: a PBE-relaxed structure.
Neutral-atom scattering factors, no anomalous dispersion.

Main lines, low angle first (15 to 90 degrees two-theta):
two_theta	intensity
19.11	14
23.90	17
27.66	27
30.78	50
33.84	100
36.87	16
38.79	23
51.06	13
55.02	18
67.08	14

Cell and atoms:
Unit cell a=4.643 b=7.451 c=7.451 alpha=120.10 beta=90.00 gamma=90.00
Element x y z (fractional)
Er (0.000, 0.000, 0.000)
Tm (0.000, 0.436, 0.873)
Tm (0.000, 0.873, 0.436)
Mg (0.500, 0.195, 0.437)
Mg (0.500, 0.437, 0.195)
Mg (0.500, 0.678, 0.678)
In (0.000, 0.437, 0.437)
In (0.500, 0.103, 0.769)
In (0.500, 0.769, 0.103)